Entry 1:
Structure and calculated X-ray powder pattern of LaScCu2S4 (DFT lattice parameters and positions (GGA-PBE); Cu Kα (λ = 1.5418 Å)).

Cell and atoms:
```
data_LaScCu2S4
_space_group_name_H-M_alt 'I 2 2 2'
_space_group_IT_number 23
_cell_length_a 6.337
_cell_length_b 6.816
_cell_length_c 7.689
_cell_angle_alpha 90.00
_cell_angle_beta 90.00
_cell_angle_gamma 90.00
loop_
_space_group_symop_operation_xyz
'x,y,z'
'-x,-y,z'
'x,-y,-z'
'-x,y,-z'
'x+1/2,y+1/2,z+1/2'
'-x+1/2,-y+1/2,z+1/2'
'x+1/2,-y+1/2,-z+1/2'
'-x+1/2,y+1/2,-z+1/2'
loop_
_atom_site_label
_atom_site_fract_x
_atom_site_fract_y
_atom_site_fract_z
La1 0.000 0.000 0.000
Sc1 0.000 0.000 0.500
Cu1 0.000 0.500 0.168
S1 0.226 0.203 0.312
```

The 10 most intense peaks (10° ≤ 2θ ≤ 80°), sorted by position:
hkl  two_theta  I/Imax
1 0 1  18.1  56
0 2 0  26.1  22
1 1 2  30.2  100
1 2 1  32.0  40
0 1 3  37.5  28
2 2 0  38.8  64
1 3 2  48.7  26
3 1 2  51.1  24
1 1 4  51.5  23
2 3 3  61.9  18


Entry 2:
Structure and calculated X-ray powder pattern of UTc2P2Rh (DFT lattice parameters and positions (GGA-PBE); Cu Kα (λ = 1.5418 Å)).

Cell and atoms:
```
data_UTc2P2Rh
_space_group_name_H-M_alt 'P m c 21'
_space_group_IT_number 26
_cell_length_a 3.968
_cell_length_b 6.961
_cell_length_c 6.794
_cell_angle_alpha 90.00
_cell_angle_beta 90.00
_cell_angle_gamma 90.00
loop_
_space_group_symop_operation_xyz
'x,y,z'
'-x,-y,z+1/2'
'-x,y,z'
'x,-y,z+1/2'
loop_
_atom_site_label
_atom_site_fract_x
_atom_site_fract_y
_atom_site_fract_z
U1 0.000 0.110 0.000
Tc1 0.000 0.319 0.387
Tc2 0.500 0.410 0.083
P1 0.000 0.402 0.714
P2 0.500 0.145 0.308
Rh1 0.500 0.191 0.686
```

The 10 most intense peaks (10° ≤ 2θ ≤ 80°), sorted by position:
hkl  two_theta  I/Imax
0 2 1  28.8  22
1 1 1  29.0  13
1 0 2  34.8  42
1 2 1  36.8  100
1 1 2  37.2  48
0 3 1  41.1  23
0 1 3  41.9  27
2 0 0  45.7  28
0 2 3  47.9  13
2 1 3  63.8  15


Entry 3:
Structure and calculated X-ray powder pattern of K2MgAgHg (DFT lattice parameters and positions (GGA-PBE); Cu Kα (λ = 1.5418 Å)).

Cell and atoms:
```
data_K2MgAgHg
_space_group_name_H-M_alt 'P 4/m m m'
_space_group_IT_number 123
_space_group_name_Hall '-P 4 2'
_cell_length_a 6.350
_cell_length_b 6.350
_cell_length_c 5.342
_cell_angle_alpha 90.00
_cell_angle_beta 90.00
_cell_angle_gamma 90.00
loop_
_atom_site_label
_atom_site_fract_x
_atom_site_fract_y
_atom_site_fract_z
K1 0.000 0.500 0.000
Mg1 0.000 0.000 0.500
Ag1 0.000 0.000 0.000
Hg1 0.500 0.500 0.500
```

The 10 most intense peaks (10° ≤ 2θ ≤ 80°), sorted by position:
hkl  two_theta  I/Imax
1 1 0  19.8  49
1 0 1  21.7  100
1 1 1  25.9  31
2 0 0  28.1  58
0 0 2  33.6  18
2 1 1  35.8  57
1 1 2  39.2  18
2 2 0  40.2  22
2 0 2  44.3  33
2 2 2  53.3  19


Entry 4:
Structure and calculated X-ray powder pattern of Zn3PbSe4O12 (DFT lattice parameters and positions (GGA-PBE); Cu Kα (λ = 1.5418 Å)).

Cell and atoms:
```
data_Zn3PbSe4O12
_space_group_name_H-M_alt 'R 3 2'
_space_group_IT_number 155
_space_group_name_Hall 'R 3 2"'
_cell_length_a 10.7909
_cell_length_b 10.7909
_cell_length_c 7.9307
_cell_angle_alpha 90.00
_cell_angle_beta 90.00
_cell_angle_gamma 120.00
loop_
_atom_site_label
_atom_site_fract_x
_atom_site_fract_y
_atom_site_fract_z
Zn1 0.0000 0.5728 0.0000
Pb1 0.0000 0.0000 0.0000
Se1 0.0000 0.0000 0.5000
Se2 0.0000 0.3992 0.5000
O1 0.0000 0.5573 0.5000
O2 0.0000 0.8257 0.5000
O3 0.0488 0.1827 0.1957
```

The 10 most intense peaks (10° ≤ 2θ ≤ 80°), sorted by position:
hkl  two_theta  I/Imax
2 1 1  27.6  40
3 0 0  28.7  50
2 0 2  29.5  100
1 2 2  34.0  25
1 3 1  36.5  33
1 1 3  37.9  27
2 3 2  48.2  48
0 2 4  50.0  22
5 0 2  54.3  27
5 2 0  62.0  26


Entry 5:
Structure and calculated X-ray powder pattern of Pu4Ru (DFT lattice parameters and positions (GGA-PBE); Cu Kα (λ = 1.5418 Å)).

Cell and atoms:
```
data_Pu4Ru
_space_group_name_H-M_alt 'P 1'
_space_group_IT_number 1
_cell_length_a 3.040
_cell_length_b 8.088
_cell_length_c 8.942
_cell_angle_alpha 81.90
_cell_angle_beta 89.94
_cell_angle_gamma 79.79
loop_
_space_group_symop_operation_xyz
'x,y,z'
loop_
_atom_site_label
_atom_site_fract_x
_atom_site_fract_y
_atom_site_fract_z
Pu1 0.000 0.000 0.000
Pu2 0.011 0.399 0.829
Pu3 0.071 0.472 0.490
Pu4 0.455 0.570 0.136
Pu5 0.538 0.765 0.902
Pu6 0.554 0.850 0.339
Pu7 0.810 0.056 0.622
Pu8 0.953 0.222 0.376
Ru1 0.310 0.715 0.637
Ru2 0.433 0.250 0.109
```

The 10 most intense peaks (10° ≤ 2θ ≤ 80°), sorted by position:
hkl  two_theta  I/Imax
0 2 2  28.1  22
0 1 3  30.8  21
0 2 -2  32.5  37
0 1 -3  33.9  100
0 3 1  34.2  57
1 2 1  35.0  16
1 1 2  35.8  37
1 1 -2  36.9  27
1 2 2  38.7  24
0 2 4  44.0  15


Entry 6:
Structure and calculated X-ray powder pattern of Tm6CuPd5 (DFT lattice parameters and positions (GGA-PBE); Cu Kα (λ = 1.5418 Å)).

Cell and atoms:
```
data_Tm6CuPd5
_space_group_name_H-M_alt 'P 1 2/m 1'
_space_group_IT_number 10
_cell_length_a 4.892
_cell_length_b 6.941
_cell_length_c 7.716
_cell_angle_alpha 90.00
_cell_angle_beta 108.42
_cell_angle_gamma 90.00
loop_
_space_group_symop_operation_xyz
'x,y,z'
'-x,-y,-z'
'-x,y,-z'
'x,-y,z'
loop_
_atom_site_label
_atom_site_fract_x
_atom_site_fract_y
_atom_site_fract_z
Tm1 0.000 0.249 0.000
Tm2 0.334 0.249 0.668
Cu1 0.500 0.000 0.000
Pd1 0.167 0.000 0.333
Pd2 0.169 0.500 0.337
Pd3 0.500 0.500 0.000
```

The 10 most intense peaks (10° ≤ 2θ ≤ 80°), sorted by position:
hkl  two_theta  I/Imax
0 2 0  25.7  3
1 0 1  25.8  6
1 2 1  36.7  100
0 0 3  36.8  20
0 4 0  52.8  7
2 0 2  53.0  14
0 4 3  66.0  14
3 2 0  66.1  14
1 2 4  66.3  14
2 4 2  78.1  9